Structure and calculated X-ray powder pattern of MgV6H6O18 (DFT lattice parameters and positions (PBE+U); Cu Kα (weighted mean of Kα1 and Kα2)).
Neutral-atom scattering factors, no anomalous dispersion.

Unit cell a=5.614 b=7.823 c=8.970 alpha=84.43 beta=87.93 gamma=77.55
Fractional coordinates of all 31 atoms:
Mg1 0.000 0.000 0.000
V1 0.214 0.544 0.052
V2 0.427 0.568 0.561
V3 0.745 0.394 0.251
V4 0.758 0.386 0.882
V5 0.888 0.725 0.733
V6 0.894 0.728 0.359
H1 0.026 0.162 0.483
H2 0.039 0.152 0.668
H3 0.256 0.222 0.569
H4 0.368 0.187 0.944
H5 0.473 0.984 0.928
H6 0.815 0.035 0.276
O1 0.146 0.131 0.573
O2 0.192 0.716 0.685
O3 0.194 0.679 0.400
O4 0.238 0.753 0.025
O5 0.333 0.068 0.967
O6 0.388 0.364 0.583
O7 0.441 0.421 0.210
O8 0.448 0.392 0.927
O9 0.680 0.563 0.713
O10 0.687 0.563 0.406
O11 0.782 0.815 0.530
O12 0.791 0.888 0.846
O13 0.839 0.208 0.366
O14 0.842 0.927 0.218
O15 0.869 0.290 0.074
O16 0.883 0.199 0.804
O17 0.944 0.563 0.198
O18 0.973 0.541 0.897

Principal peaks in the range 10 to 90 degrees two-theta, most intense first:
Position (°2θ)  I/Imax
11.6  100
25.5  50
16.2  27
25.9  24
16.0  12
17.8  12
33.3  10
32.7  10
29.2  9
40.1  9


Structure and calculated X-ray powder pattern of SrCaCeNiO6 (DFT lattice parameters and positions (PBE+U); Cu Kα (weighted mean of Kα1 and Kα2)).
Neutral-atom scattering factors, no anomalous dispersion.

Unit cell a=5.718 b=5.718 c=5.718 alpha=60.00 beta=60.00 gamma=60.00
Fractional coordinates of all 10 atoms:
Sr1 0.000 0.000 0.000
Ca1 0.500 0.500 0.500
Ce1 0.250 0.250 0.250
Ni1 0.750 0.750 0.750
O1 0.518 0.518 0.982
O2 0.518 0.982 0.518
O3 0.518 0.982 0.982
O4 0.982 0.518 0.518
O5 0.982 0.518 0.982
O6 0.982 0.982 0.518

Principal peaks in the range 10 to 90 degrees two-theta, most intense first:
Position (°2θ)  I/Imax
31.3  100
55.7  38
44.8  36
65.3  21
74.2  17
22.0  16
19.0  14
36.9  11
82.7  7
49.1  7


Structure and calculated X-ray powder pattern of MgZn2Cr2O8 (DFT lattice parameters and positions (PBE+U); Cu Kα (weighted mean of Kα1 and Kα2)).
Neutral-atom scattering factors, no anomalous dispersion.

Unit cell a=5.267 b=5.267 c=6.298 alpha=93.34 beta=93.34 gamma=64.88
Fractional coordinates of all 13 atoms:
Mg1 0.000 0.000 0.000
Zn1 0.500 0.500 0.000
Zn2 0.500 0.500 0.500
Cr1 0.172 0.172 0.705
Cr2 0.828 0.828 0.295
O1 0.201 0.732 0.246
O2 0.262 0.262 0.484
O3 0.268 0.799 0.754
O4 0.269 0.269 0.942
O5 0.731 0.731 0.058
O6 0.732 0.201 0.246
O7 0.738 0.738 0.516
O8 0.799 0.268 0.754

Principal peaks in the range 10 to 90 degrees two-theta, most intense first:
Position (°2θ)  I/Imax
31.7  100
34.2  84
34.8  75
23.9  69
47.0  63
25.4  60
23.0  51
33.6  49
20.0  43
43.1  41


Structure and calculated X-ray powder pattern of Sr2MgZrCrO6 (DFT lattice parameters and positions (PBE+U); Cu Kα (weighted mean of Kα1 and Kα2)).
Neutral-atom scattering factors, no anomalous dispersion.

Unit cell a=5.440 b=5.669 c=6.400 alpha=116.16 beta=109.72 gamma=90.08
Fractional coordinates of all 11 atoms:
Sr1 0.000 0.000 0.000
Sr2 0.374 0.429 0.857
Mg1 0.687 0.738 0.427
Zr1 0.188 0.733 0.431
Cr1 0.687 0.231 0.431
O1 0.393 0.899 0.269
O2 0.394 0.412 0.283
O3 0.531 0.924 0.743
O4 0.841 0.613 0.121
O5 0.980 0.061 0.592
O6 0.980 0.560 0.580

Principal peaks in the range 10 to 90 degrees two-theta, most intense first:
Position (°2θ)  I/Imax
29.3  100
27.2  66
31.6  49
46.4  38
33.1  24
46.8  22
29.7  20
33.7  19
43.0  19
50.6  14


Structure and calculated X-ray powder pattern of Fe3Pb8F24 (DFT lattice parameters and positions (PBE+U); Cu Kα (weighted mean of Kα1 and Kα2)).
Neutral-atom scattering factors, no anomalous dispersion.

Unit cell a=5.671 b=9.580 c=10.615 alpha=75.09 beta=75.26 gamma=89.45
Fractional coordinates of all 35 atoms:
Fe1 0.000 0.000 0.000
Fe2 0.451 0.249 0.095
Fe3 0.549 0.751 0.905
Pb1 0.087 0.438 0.827
Pb2 0.176 0.898 0.642
Pb3 0.265 0.360 0.450
Pb4 0.357 0.827 0.263
Pb5 0.643 0.173 0.737
Pb6 0.735 0.640 0.550
Pb7 0.824 0.102 0.358
Pb8 0.913 0.562 0.173
F1 0.022 0.875 0.448
F2 0.044 0.147 0.820
F3 0.079 0.614 0.368
F4 0.109 0.643 0.642
F5 0.169 0.367 0.083
F6 0.271 0.878 0.895
F7 0.293 0.103 0.038
F8 0.293 0.140 0.283
F9 0.388 0.664 0.096
F10 0.404 0.624 0.825
F11 0.427 0.391 0.644
F12 0.483 0.133 0.545
F13 0.517 0.867 0.455
F14 0.573 0.609 0.356
F15 0.596 0.376 0.175
F16 0.612 0.336 0.904
F17 0.707 0.860 0.717
F18 0.707 0.897 0.962
F19 0.729 0.122 0.105
F20 0.831 0.633 0.917
F21 0.891 0.357 0.358
F22 0.921 0.386 0.632
F23 0.956 0.853 0.180
F24 0.978 0.125 0.552

Principal peaks in the range 10 to 90 degrees two-theta, most intense first:
Position (°2θ)  I/Imax
26.0  100
26.9  97
26.4  97
27.2  89
29.9  65
31.1  62
31.6  57
43.9  39
51.8  36
44.1  36


Structure and calculated X-ray powder pattern of K2MgMn2P6H2O20 (DFT lattice parameters and positions (PBE+U); Cu Kα (weighted mean of Kα1 and Kα2)).
Neutral-atom scattering factors, no anomalous dispersion.

Unit cell a=7.179 b=7.259 c=9.946 alpha=71.81 beta=74.28 gamma=69.51
Fractional coordinates of all 33 atoms:
K1 0.089 0.411 0.161
K2 0.911 0.589 0.839
Mg1 0.000 0.500 0.500
Mn1 0.000 0.000 0.000
Mn2 0.500 0.500 0.500
P1 0.221 0.860 0.309
P2 0.327 0.143 0.713
P3 0.350 0.700 0.798
P4 0.650 0.300 0.202
P5 0.673 0.857 0.287
P6 0.779 0.140 0.691
H1 0.000 0.000 0.500
H2 0.500 0.500 0.000
O1 0.096 0.038 0.379
O2 0.153 0.737 0.907
O3 0.196 0.655 0.406
O4 0.207 0.901 0.154
O5 0.210 0.168 0.859
O6 0.231 0.290 0.586
O7 0.346 0.598 0.687
O8 0.384 0.917 0.697
O9 0.457 0.819 0.322
O10 0.467 0.404 0.124
O11 0.533 0.596 0.876
O12 0.543 0.181 0.678
O13 0.616 0.083 0.303
O14 0.654 0.402 0.313
O15 0.769 0.710 0.414
O16 0.790 0.832 0.141
O17 0.793 0.099 0.846
O18 0.804 0.345 0.594
O19 0.847 0.263 0.093
O20 0.904 0.962 0.621

Principal peaks in the range 10 to 90 degrees two-theta, most intense first:
Position (°2θ)  I/Imax
20.6  100
30.2  74
15.0  73
26.4  73
30.9  58
32.3  57
28.7  54
16.0  53
29.2  52
26.9  34


Structure and calculated X-ray powder pattern of LiMnO2 (DFT lattice parameters and positions (PBE+U); Cu Kα (weighted mean of Kα1 and Kα2)).
Neutral-atom scattering factors, no anomalous dispersion.

Unit cell a=5.752 b=5.752 c=6.117 alpha=116.34 beta=116.34 gamma=88.39
Fractional coordinates of all 16 atoms:
Li1 0.000 0.500 0.500
Li2 0.053 0.947 0.750
Li3 0.500 0.000 0.000
Li4 0.947 0.053 0.250
Mn1 0.000 0.500 0.000
Mn2 0.500 0.000 0.500
Mn3 0.500 0.500 0.000
Mn4 0.500 0.500 0.500
O1 0.234 0.727 0.982
O2 0.269 0.287 0.027
O3 0.273 0.766 0.518
O4 0.287 0.269 0.527
O5 0.713 0.731 0.473
O6 0.727 0.234 0.482
O7 0.731 0.713 0.973
O8 0.766 0.273 0.018

Principal peaks in the range 10 to 90 degrees two-theta, most intense first:
Position (°2θ)  I/Imax
17.6  100
18.4  71
37.4  64
45.2  38
44.0  38
31.3  27
60.1  26
65.0  20
32.7  19
35.6  16